Starting from a cell relaxed with GGA+U, the powder diffraction line list of BaNdNi4O12 was calculated for Cu Kα.
Kinematic intensities with the Lorentz-polarization factor, no thermal factor.

The 10 most intense peaks (2θ = 10–80°), sorted by position:
d = 4.471 Å, intensity 81, hkl 1 0 1; d = 2.738 Å, intensity 100, hkl 2 0 0; d = 2.335 Å, intensity 43, hkl 2 1 1; d = 1.936 Å, intensity 41, hkl 2 2 0; d = 1.776 Å, intensity 19, hkl 2 1 3; d = 1.581 Å, intensity 39, hkl 2 0 4; d = 1.490 Å, intensity 15, hkl 3 0 3; d = 1.369 Å, intensity 23, hkl 4 0 0; d = 1.309 Å, intensity 13, hkl 4 1 1; d = 1.225 Å, intensity 11, hkl 4 2 0

Structure:
Lattice parameters (Å, degrees): 5.478 5.478 7.736 90.00 90.00 90.00
Sites, in units of the cell vectors:
Ba (0.000, 0.000, 0.000)
Nd (0.500, 0.500, 0.500)
Ni (0.000, 0.500, 0.251)
Ni (0.000, 0.500, 0.749)
Ni (0.500, 0.000, 0.251)
Ni (0.500, 0.000, 0.749)
O (0.000, 0.500, 0.000)
O (0.000, 0.500, 0.500)
O (0.267, 0.267, 0.268)
O (0.267, 0.267, 0.732)
O (0.267, 0.733, 0.268)
O (0.267, 0.733, 0.732)
O (0.500, 0.000, 0.000)
O (0.500, 0.000, 0.500)
O (0.733, 0.267, 0.268)
O (0.733, 0.267, 0.732)
O (0.733, 0.733, 0.268)
O (0.733, 0.733, 0.732)